# TeBrO3F5
Calculated X-ray diffraction stick pattern, Cu Kα (λ = 1.5418 Å). Input: the PBE geometry in Alexandria.
No peak broadening, texture or thermal motion is included.

The 12 most intense peaks (10° ≤ 2θ ≤ 90°), by intensity:
21.3°, I 100.0
16.3°, I 63.4
18.4°, I 46.3
22.3°, I 31.1
26.4°, I 28.8
34.1°, I 18.0
27.8°, I 17.5
23.9°, I 12.1
24.0°, I 11.8
59.1°, I 11.7
34.2°, I 11.0
36.8°, I 11.0

Structural model:
```
data_TeBrO3F5
_space_group_name_H-M_alt 'P 1'
_space_group_IT_number 1
_space_group_name_Hall 'P 1'
_cell_length_a 5.4796
_cell_length_b 6.4289
_cell_length_c 20.2768
_cell_angle_alpha 90.00
_cell_angle_beta 90.29
_cell_angle_gamma 90.00
loop_
_atom_site_label
_atom_site_type_symbol
_atom_site_fract_x
_atom_site_fract_y
_atom_site_fract_z
_atom_site_occupancy
Te1 Te 0.2466 0.2193 0.4096 1
Te2 Te 0.2466 0.2807 0.9096 1
Te3 Te 0.7534 0.7193 0.0904 1
Te4 Te 0.7534 0.7807 0.5904 1
Br1 Br 0.2463 0.1700 0.7426 1
Br2 Br 0.2463 0.3300 0.2426 1
Br3 Br 0.7537 0.6700 0.7574 1
Br4 Br 0.7537 0.8300 0.2574 1
O1 O 0.0419 0.7348 0.7580 1
O2 O 0.0419 0.7652 0.2580 1
O3 O 0.3823 0.1890 0.3229 1
O4 O 0.3823 0.3110 0.8229 1
O5 O 0.4041 0.1878 0.1918 1
O6 O 0.4041 0.3122 0.6918 1
O7 O 0.5959 0.6878 0.3082 1
O8 O 0.5959 0.8122 0.8082 1
O9 O 0.6177 0.6890 0.1771 1
O10 O 0.6177 0.8110 0.6771 1
O11 O 0.9581 0.2348 0.7420 1
O12 O 0.9581 0.2652 0.2420 1
F1 F 0.0442 0.5832 0.1162 1
F2 F 0.0442 0.9168 0.6162 1
F3 F 0.1039 0.0241 0.8866 1
F4 F 0.1039 0.4759 0.3866 1
F5 F 0.1145 0.2434 0.4939 1
F6 F 0.1145 0.2566 0.9939 1
F7 F 0.3831 0.5380 0.9325 1
F8 F 0.3831 0.9620 0.4325 1
F9 F 0.4737 0.6438 0.5597 1
F10 F 0.4737 0.8562 0.0597 1
F11 F 0.5263 0.1438 0.9403 1
F12 F 0.5263 0.3562 0.4403 1
F13 F 0.6169 0.0380 0.5675 1
F14 F 0.6169 0.4620 0.0675 1
F15 F 0.8855 0.7434 0.0061 1
F16 F 0.8855 0.7566 0.5061 1
F17 F 0.8961 0.5241 0.6134 1
F18 F 0.8961 0.9759 0.1134 1
F19 F 0.9558 0.0832 0.3838 1
F20 F 0.9558 0.4168 0.8838 1
```

# Cu3Br4N4
Calculated X-ray diffraction stick pattern, Cu Kα (λ = 1.5418 Å). Input: the PBE geometry in Alexandria.
No peak broadening, texture or thermal motion is included.

The 12 most intense peaks (10° ≤ 2θ ≤ 90°), by intensity:
28.1°, I 100.0
18.5°, I 49.6
37.5°, I 37.0
55.1°, I 29.2
46.8°, I 27.5
33.8°, I 24.6
13.0°, I 24.2
48.8°, I 18.9
56.3°, I 17.7
54.1°, I 15.5
38.8°, I 14.5
87.8°, I 10.5

Structural model:
```
data_Cu3Br4N4
_space_group_name_H-M_alt 'P 1'
_space_group_IT_number 1
_space_group_name_Hall 'P 1'
_cell_length_a 7.1862
_cell_length_b 7.1862
_cell_length_c 7.1862
_cell_angle_alpha 96.23
_cell_angle_beta 96.23
_cell_angle_gamma 141.53
loop_
_atom_site_label
_atom_site_type_symbol
_atom_site_fract_x
_atom_site_fract_y
_atom_site_fract_z
_atom_site_occupancy
Cu1 Cu 0.0000 0.0000 0.0000 1
Cu2 Cu 0.2500 0.7500 0.5000 1
Cu3 Cu 0.7500 0.2500 0.5000 1
Br1 Br 0.2220 0.5000 0.7220 1
Br2 Br 0.5000 0.2220 0.7220 1
Br3 Br 0.5000 0.7780 0.2780 1
Br4 Br 0.7780 0.5000 0.2780 1
N1 N 0.1354 0.1354 0.2707 1
N2 N 0.1354 0.8646 0.0000 1
N3 N 0.8646 0.1354 0.0000 1
N4 N 0.8646 0.8646 0.7293 1
```

# GdTh2
Calculated X-ray diffraction stick pattern, Cu Kα (λ = 1.5418 Å). Input: the PBE geometry in Alexandria.
No peak broadening, texture or thermal motion is included.

The 12 most intense peaks (10° ≤ 2θ ≤ 90°), by intensity:
31.6°, I 100.0
33.0°, I 53.3
50.5°, I 36.8
55.3°, I 34.5
78.2°, I 23.4
66.0°, I 22.8
16.3°, I 18.1
26.8°, I 16.5
65.1°, I 13.0
38.3°, I 11.5
47.4°, I 7.1
82.1°, I 5.7

Structural model:
```
data_GdTh2
_space_group_name_H-M_alt 'P 1'
_space_group_IT_number 1
_space_group_name_Hall 'P 1'
_cell_length_a 6.6415
_cell_length_b 6.6415
_cell_length_c 6.6415
_cell_angle_alpha 60.00
_cell_angle_beta 60.00
_cell_angle_gamma 60.00
loop_
_atom_site_label
_atom_site_type_symbol
_atom_site_fract_x
_atom_site_fract_y
_atom_site_fract_z
_atom_site_occupancy
Gd1 Gd 0.1250 0.1250 0.1250 1
Gd2 Gd 0.8750 0.8750 0.8750 1
Th1 Th 0.0000 0.5000 0.5000 1
Th2 Th 0.5000 0.0000 0.5000 1
Th3 Th 0.5000 0.5000 0.0000 1
Th4 Th 0.5000 0.5000 0.5000 1
```